(1)
Structure and theoretical powder diffraction line list of Ca2PuNpP4 (a PBE-relaxed structure; λ = 1.5418 Å (Cu Kα)).

Atomic structure:
```
data_Ca2PuNpP4
_cell_length_a 6.9863
_cell_length_b 4.0569
_cell_length_c 7.0316
_cell_angle_alpha 90.00
_cell_angle_beta 109.56
_cell_angle_gamma 90.00
_symmetry_space_group_name_H-M 'P 1 2/m 1'
_symmetry_Int_Tables_number 10
_symmetry_space_group_name_Hall '-P 2y'
loop_
_atom_site_label
_atom_site_fract_x
_atom_site_fract_y
_atom_site_fract_z
Ca1 0.0000 0.0000 0.0000
Ca2 0.0000 0.5000 0.5000
Pu1 0.5000 0.0000 0.5000
Np1 0.5000 0.5000 0.0000
P1 0.2765 0.0000 0.7626
P2 0.2764 0.5000 0.2548
```

Peak list (12 most intense, 10° ≤ 2θ ≤ 80°, by intensity)
(1 1 1), 2θ = 31.2°, 2.863 Å, I 100.0
(1 0 0), 2θ = 13.5°, 6.583 Å, I 81.9
(0 0 2), 2θ = 26.9°, 3.311 Å, I 57.6
(0 1 1), 2θ = 25.7°, 3.460 Å, I 48.9
(0 2 0), 2θ = 44.7°, 2.029 Å, I 37.3
(2 0 2), 2θ = 44.9°, 2.020 Å, I 35.5
(1 2 0), 2θ = 46.9°, 1.939 Å, I 24.2
(2 1 1), 2θ = 41.0°, 2.200 Å, I 19.6
(2 0 0), 2θ = 27.1°, 3.292 Å, I 19.5
(0 0 4), 2θ = 55.5°, 1.656 Å, I 19.4
(1 3 1), 2θ = 73.9°, 1.283 Å, I 16.7
(1 1 3), 2θ = 53.0°, 1.729 Å, I 16.2

(2)
Structure and theoretical powder diffraction line list of Er3TeBr7 (a PBE-relaxed structure; λ = 1.5418 Å (Cu Kα)).

Atomic structure:
```
data_Er3TeBr7
_cell_length_a 14.1863
_cell_length_b 8.3160
_cell_length_c 10.1077
_cell_angle_alpha 90.00
_cell_angle_beta 134.51
_cell_angle_gamma 90.00
_symmetry_space_group_name_H-M 'C 1 m 1'
_symmetry_Int_Tables_number 8
_symmetry_space_group_name_Hall 'C -2y'
loop_
_atom_site_label
_atom_site_fract_x
_atom_site_fract_y
_atom_site_fract_z
Er1 0.0000 0.0000 0.0000
Er2 0.2441 0.2430 0.4865
Te1 0.0331 0.0000 0.3248
Br1 0.0693 0.5000 0.3414
Br2 0.1957 0.2364 0.1660
Br3 0.3060 0.2618 0.8162
Br4 0.4332 0.0000 0.6397
Br5 0.4458 0.5000 0.6586
```

Peak list (12 most intense, 10° ≤ 2θ ≤ 80°, by intensity)
(2 0 -3), 2θ = 27.8°, 3.212 Å, I 100.0
(2 0 -1), 2θ = 12.5°, 7.093 Å, I 72.5
(4 2 -1), 2θ = 35.5°, 2.527 Å, I 67.0
(0 4 0), 2θ = 43.5°, 2.080 Å, I 37.3
(6 2 -4), 2θ = 45.9°, 1.977 Å, I 33.5
(1 1 0), 2θ = 13.8°, 6.423 Å, I 26.2
(2 2 2), 2θ = 45.4°, 1.996 Å, I 18.1
(2 4 -3), 2θ = 52.4°, 1.746 Å, I 16.3
(4 0 2), 2θ = 57.4°, 1.606 Å, I 16.1
(2 2 -6), 2θ = 70.4°, 1.337 Å, I 12.9
(8 4 -4), 2θ = 69.7°, 1.349 Å, I 12.7
(6 4 -1), 2θ = 65.1°, 1.433 Å, I 10.6

(3)
Structure and theoretical powder diffraction line list of Ba4AuSe3 (a PBE-relaxed structure; λ = 1.5418 Å (Cu Kα)).

Atomic structure:
```
data_Ba4AuSe3
_cell_length_a 6.7112
_cell_length_b 6.7112
_cell_length_c 6.7112
_cell_angle_alpha 90.00
_cell_angle_beta 90.00
_cell_angle_gamma 90.00
_symmetry_space_group_name_H-M 'P m -3 m'
_symmetry_Int_Tables_number 221
_symmetry_space_group_name_Hall '-P 4 2 3'
loop_
_atom_site_label
_atom_site_fract_x
_atom_site_fract_y
_atom_site_fract_z
Ba1 0.0000 0.0000 0.0000
Ba2 0.0000 0.5000 0.5000
Au1 0.5000 0.5000 0.5000
Se1 0.0000 0.0000 0.5000
```

Peak list (12 most intense, 10° ≤ 2θ ≤ 80°, by intensity)
(2 0 0), 2θ = 26.6°, 3.356 Å, I 100.0
(2 2 0), 2θ = 37.9°, 2.373 Å, I 77.7
(4 2 0), 2θ = 61.8°, 1.501 Å, I 37.0
(2 2 2), 2θ = 46.9°, 1.937 Å, I 28.1
(4 2 2), 2θ = 68.5°, 1.370 Å, I 27.4
(4 0 0), 2θ = 54.7°, 1.678 Å, I 13.3
(1 0 0), 2θ = 13.2°, 6.711 Å, I 6.7
(1 1 0), 2θ = 18.7°, 4.746 Å, I 6.4
(2 1 0), 2θ = 29.8°, 3.001 Å, I 4.4
(2 1 1), 2θ = 32.7°, 2.740 Å, I 3.5
(3 0 0), 2θ = 40.3°, 2.237 Å, I 2.5
(3 2 1), 2θ = 50.9°, 1.794 Å, I 2.1

(4)
Structure and theoretical powder diffraction line list of TcPt2Rh2 (a PBE-relaxed structure; λ = 1.5418 Å (Cu Kα)).

Atomic structure:
```
data_TcPt2Rh2
_cell_length_a 4.0287
_cell_length_b 13.7418
_cell_length_c 2.7194
_cell_angle_alpha 90.00
_cell_angle_beta 90.00
_cell_angle_gamma 90.00
_symmetry_space_group_name_H-M 'C m m m'
_symmetry_Int_Tables_number 65
_symmetry_space_group_name_Hall '-C 2 2'
loop_
_atom_site_label
_atom_site_fract_x
_atom_site_fract_y
_atom_site_fract_z
Tc1 0.0000 0.0000 0.0000
Pt1 0.0000 0.3997 0.5000
Rh1 0.0000 0.1931 0.0000
```

Peak list (12 most intense, 10° ≤ 2θ ≤ 80°, by intensity)
(1 5 0), 2θ = 39.7°, 2.270 Å, I 100.0
(1 1 1), 2θ = 40.6°, 2.224 Å, I 92.7
(2 0 0), 2θ = 45.0°, 2.014 Å, I 35.5
(0 4 1), 2θ = 42.4°, 2.132 Å, I 34.2
(0 6 1), 2θ = 52.2°, 1.752 Å, I 26.0
(2 4 1), 2θ = 63.5°, 1.464 Å, I 20.7
(2 6 1), 2θ = 71.4°, 1.322 Å, I 20.3
(1 1 0), 2θ = 23.0°, 3.866 Å, I 14.7
(3 5 0), 2θ = 79.4°, 1.207 Å, I 13.2
(3 1 1), 2θ = 80.0°, 1.199 Å, I 12.9
(1 3 1), 2θ = 44.8°, 2.022 Å, I 12.6
(1 9 1), 2θ = 75.2°, 1.264 Å, I 11.6

(5)
Structure and theoretical powder diffraction line list of Na2CeCl2O2 (a PBE-relaxed structure; λ = 1.5418 Å (Cu Kα)).

Atomic structure:
```
data_Na2CeCl2O2
_cell_length_a 4.3240
_cell_length_b 4.3240
_cell_length_c 15.6394
_cell_angle_alpha 90.00
_cell_angle_beta 90.00
_cell_angle_gamma 90.00
_symmetry_space_group_name_H-M 'I 4/m m m'
_symmetry_Int_Tables_number 139
_symmetry_space_group_name_Hall '-I 4 2'
loop_
_atom_site_label
_atom_site_fract_x
_atom_site_fract_y
_atom_site_fract_z
Na1 0.0000 0.0000 0.1360
Ce1 0.0000 0.0000 0.5000
Cl1 0.0000 0.0000 0.3207
O1 0.0000 0.5000 0.0000
```

Peak list (12 most intense, 10° ≤ 2θ ≤ 80°, by intensity)
(1 0 1), 2θ = 21.3°, 4.168 Å, I 100.0
(0 0 2), 2θ = 11.3°, 7.820 Å, I 76.1
(1 0 5), 2θ = 35.4°, 2.534 Å, I 65.9
(1 1 0), 2θ = 29.2°, 3.058 Å, I 60.7
(2 0 0), 2θ = 41.8°, 2.162 Å, I 36.7
(2 1 5), 2θ = 55.9°, 1.645 Å, I 36.6
(1 0 3), 2θ = 26.8°, 3.328 Å, I 34.3
(1 1 6), 2θ = 45.7°, 1.984 Å, I 29.8
(0 0 6), 2θ = 34.4°, 2.607 Å, I 24.9
(2 0 6), 2θ = 55.2°, 1.664 Å, I 23.1
(2 1 1), 2θ = 47.4°, 1.919 Å, I 23.0
(0 0 4), 2θ = 22.7°, 3.910 Å, I 13.8

(6)
Structure and theoretical powder diffraction line list of Ac3TmTc2N6 (a PBE-relaxed structure; λ = 1.5418 Å (Cu Kα)).

Atomic structure:
```
data_Ac3TmTc2N6
_cell_length_a 6.0350
_cell_length_b 6.0350
_cell_length_c 6.8860
_cell_angle_alpha 90.00
_cell_angle_beta 90.00
_cell_angle_gamma 120.00
_symmetry_space_group_name_H-M 'P -3 m 1'
_symmetry_Int_Tables_number 164
_symmetry_space_group_name_Hall '-P 3 2"'
loop_
_atom_site_label
_atom_site_fract_x
_atom_site_fract_y
_atom_site_fract_z
Ac1 0.0000 0.0000 0.0000
Ac2 0.3333 0.6667 0.6777
Tm1 0.0000 0.0000 0.5000
Tc1 0.3333 0.6667 0.1927
N1 0.1700 0.3400 0.2947
```

Peak list (12 most intense, 10° ≤ 2θ ≤ 80°, by intensity)
(1 1 0), 2θ = 29.6°, 3.018 Å, I 100.0
(0 1 2), 2θ = 31.1°, 2.875 Å, I 89.3
(2 0 2), 2θ = 43.5°, 2.082 Å, I 42.6
(1 2 2), 2θ = 53.5°, 1.713 Å, I 39.8
(3 0 0), 2θ = 52.5°, 1.742 Å, I 20.9
(3 1 2), 2θ = 70.5°, 1.336 Å, I 17.8
(1 0 4), 2θ = 56.3°, 1.635 Å, I 15.5
(2 2 0), 2θ = 61.5°, 1.509 Å, I 15.3
(2 1 4), 2θ = 72.9°, 1.298 Å, I 14.7
(1 0 1), 2θ = 21.3°, 4.163 Å, I 14.6
(0 2 4), 2θ = 64.9°, 1.438 Å, I 11.4
(0 2 1), 2θ = 36.8°, 2.443 Å, I 8.6